For La3Cr2N6, a PBE-relaxed structure gives the computed XRD peak list in this record (CuKα).

Structure:
```
La3Cr2N6
1.0
-1.9277 1.9277 10.0140
1.9277 -1.9277 10.0140
1.9277 1.9277 -10.0140
La Cr N
3 2 6
direct
0.0000 0.0000 0.0000
0.1790 0.1790 0.0000
0.8210 0.8210 0.0000
0.3977 0.3977 0.0000
0.6023 0.6023 0.0000
0.0868 0.5868 0.5000
0.3065 0.3065 0.0000
0.4132 0.9132 0.5000
0.5868 0.0868 0.5000
0.6935 0.6935 0.0000
0.9132 0.4132 0.5000
```

Peak list (8 most intense, 10° ≤ 2θ ≤ 80°, by intensity)
two_theta  I_rel
32.23  100.0
32.85  60.8
47.15  36.3
58.26  36.3
42.83  32.1
23.50  28.8
26.71  17.7
55.01  13.4